[1]
Starting from a DFT-relaxed cell (GGA-PBE, the Materials Project), the powder XRD pattern of CeSi2Ag2 was computed for Cu Kα, 1.54184 Å.

The 6 most intense peaks (5 to 70 degrees two-theta), low angle first:
- 2θ 22.55, I 17.4
- 2θ 32.75, I 21.6
- 2θ 33.39, I 18.4
- 2θ 34.27, I 100.0
- 2θ 42.66, I 33.5
- 2θ 55.23, I 16.9

Crystal structure
```
CeSi2Ag2
1.0
-2.120 2.120 5.367
2.120 -2.120 5.367
2.120 2.120 -5.367
Ce Si Ag
1 2 2
direct
0.000 0.000 0.000
0.392 0.392 0.000
0.608 0.608 0.000
0.250 0.750 0.500
0.750 0.250 0.500
```

[2]
Starting from a DFT-relaxed cell (GGA-PBE, the Materials Project), the powder XRD pattern of BaLaCuTe3 was computed for Cu Kα, 1.54184 Å.

The 6 most intense peaks (5 to 70 degrees two-theta), low angle first:
- 2θ 25.25, I 48.8
- 2θ 26.48, I 50.6
- 2θ 27.52, I 100.0
- 2θ 30.42, I 90.4
- 2θ 38.99, I 59.5
- 2θ 39.61, I 41.4

Crystal structure
```
BaLaCuTe3
1.0
11.986 0.000 0.000
0.000 4.550 0.000
0.000 0.000 15.007
Ba La Cu Te
4 4 4 12
direct
0.225 0.250 0.002
0.275 0.750 0.502
0.725 0.250 0.498
0.775 0.750 0.998
0.017 0.750 0.258
0.483 0.250 0.758
0.517 0.750 0.242
0.983 0.250 0.742
0.238 0.750 0.781
0.262 0.250 0.281
0.738 0.750 0.719
0.762 0.250 0.219
0.055 0.750 0.883
0.092 0.250 0.395
0.237 0.250 0.679
0.263 0.750 0.179
0.408 0.750 0.895
0.445 0.250 0.383
0.555 0.750 0.617
0.592 0.250 0.105
0.737 0.250 0.821
0.763 0.750 0.321
0.908 0.750 0.605
0.945 0.250 0.117
```

[3]
Starting from a DFT-relaxed cell (GGA-PBE, the Materials Project), the powder XRD pattern of VNi4P16 was computed for Cu Kα, 1.54184 Å.

The 6 most intense peaks (5 to 70 degrees two-theta), low angle first:
- 2θ 32.42, I 100.0
- 2θ 32.66, I 68.4
- 2θ 35.91, I 98.1
- 2θ 50.64, I 70.5
- 2θ 54.10, I 86.0
- 2θ 54.53, I 61.2

Crystal structure
```
VNi4P16
1.0
9.780 -2.833 0.000
9.780 2.833 0.000
-2.096 0.000 10.897
V Ni P
2 8 32
direct
0.107 0.893 0.750
0.893 0.107 0.250
0.193 0.306 0.129
0.300 0.488 0.426
0.306 0.193 0.629
0.488 0.300 0.926
0.512 0.700 0.074
0.694 0.807 0.371
0.700 0.512 0.574
0.807 0.694 0.871
0.056 0.386 0.312
0.104 0.178 0.542
0.118 0.119 0.837
0.119 0.118 0.337
0.158 0.721 0.918
0.178 0.104 0.042
0.222 0.353 0.946
0.228 0.763 0.391
0.231 0.488 0.220
0.237 0.772 0.109
0.279 0.842 0.582
0.353 0.222 0.446
0.386 0.056 0.812
0.386 0.494 0.634
0.488 0.231 0.720
0.494 0.386 0.134
0.506 0.614 0.866
0.512 0.769 0.280
0.614 0.506 0.366
0.614 0.944 0.188
0.647 0.778 0.554
0.721 0.158 0.418
0.763 0.228 0.891
0.769 0.512 0.780
0.772 0.237 0.609
0.778 0.647 0.054
0.822 0.896 0.958
0.842 0.279 0.082
0.881 0.882 0.663
0.882 0.881 0.163
0.896 0.822 0.458
0.944 0.614 0.688
```